No. 1
Diffraction record for Na2Pa3S8. The powder XRD pattern is computed, not measured: it uses DFT lattice parameters and positions (PBE) and Cu Kα X-rays.
No peak broadening, texture or thermal motion is included.

Main lines, by angle (10° ≤ 2θ ≤ 90°):
hkl	d [Å]	Rel. int.
1 1 0	6.909	22.1
2 0 0	6.531	100.0
1 1 1	4.475	15.2
0 2 1	3.475	23.9
0 0 2	3.334	26.9
2 2 -1	3.273	59.3
2 0 2	2.679	20.9
4 2 -1	2.577	39.8
4 2 1	2.222	23.0
2 2 -3	2.012	19.8

Crystal structure
Lattice parameters (Å, degrees): 13.620 8.141 6.955 90.00 106.46 90.00
Space group C2/m (No. 12)
Unique sites:
Na1 0.218 0.000 0.123
Pa1 0.000 0.243 0.500
Pa2 0.000 0.500 0.000
S1 0.105 0.500 0.393
S2 0.110 0.273 0.881
S3 0.112 0.000 0.430

No. 2
Diffraction record for PrLuNO. The powder XRD pattern is computed, not measured: it uses DFT lattice parameters and positions (PBE) and Cu Kα X-rays.
No peak broadening, texture or thermal motion is included.

Main lines, by angle (10° ≤ 2θ ≤ 90°):
hkl	d [Å]	Rel. int.
1 2 0	3.484	35.6
2 0 0	3.357	22.1
1 2 1	2.856	100.0
2 0 1	2.785	40.3
0 0 2	2.494	32.7
0 4 0	2.038	17.1
1 2 2	2.028	15.5
3 2 0	1.962	30.1
2 4 1	1.645	18.5
3 2 2	1.542	27.3

Crystal structure
Lattice parameters (Å, degrees): 6.714 8.151 4.988 90.00 90.00 90.00
Space group Pca2_1 (No. 29)
Unique sites:
Pr1 0.067 0.128 0.000
Lu1 0.087 0.618 0.999
N1 0.084 0.611 0.503
O1 0.081 0.154 0.500

What is the formula in the first record? Na2Pa3S8